Entry 1:
The following is a simulated powder diffractogram of In2SbIr. It was derived from a DFT-relaxed cell (PBE, Alexandria), using Cu Kα (λ = 1.5418 Å).
No peak broadening, texture or thermal motion is included.

Crystal structure
```
4
Lattice="3.1610 0.0000 0.0000 0.0000 3.1610 0.0000 0.0000 0.0000 8.7785" Properties=species:S:1:pos:R:3 pbc="T T T"
In 0.0000 0.0000 1.7448
In 0.0000 0.0000 7.0337
Sb 1.5805 1.5805 4.3892
Ir 1.5805 1.5805 0.0000
```

Most intense lines, 10° ≤ 2θ ≤ 80°, sorted by position:
| hkl | 2θ (°) | d_spacing | Rel. int. |
| --- | --- | --- | --- |
| 0 0 1 | 10.08 | 8.778 | 36 |
| 1 0 2 | 34.98 | 2.565 | 100 |
| 1 1 0 | 40.35 | 2.235 | 40 |
| 0 0 4 | 41.13 | 2.195 | 9 |
| 1 0 3 | 42.08 | 2.147 | 16 |
| 1 0 4 | 50.64 | 1.803 | 9 |
| 2 0 0 | 58.39 | 1.581 | 13 |
| 1 1 4 | 58.98 | 1.566 | 13 |
| 2 1 2 | 69.91 | 1.346 | 26 |
| 2 0 4 | 73.90 | 1.283 | 6 |
| 2 1 3 | 74.55 | 1.273 | 6 |
| 1 1 6 | 78.06 | 1.224 | 6 |

Entry 2:
The following is a simulated powder diffractogram of Fe2IrRh4. It was derived from a DFT-relaxed cell (PBE, Alexandria), using Cu Kα (λ = 1.5418 Å).
No peak broadening, texture or thermal motion is included.

Crystal structure
```
14
Lattice="4.3176 0.0000 0.0000 -2.1588 3.7392 0.0000 0.0000 0.0000 12.4935" Properties=species:S:1:pos:R:3 pbc="T T T"
Fe 0.0000 2.4928 0.6909
Fe 0.0000 2.4928 5.5559
Fe 2.1588 1.2464 6.9377
Fe 2.1588 1.2464 11.8026
Ir 0.0000 0.0000 3.1234
Ir 0.0000 0.0000 9.3701
Rh 0.0000 0.0000 0.0000
Rh 0.0000 0.0000 6.2468
Rh 0.0000 2.4928 3.1234
Rh 0.0000 2.4928 7.9793
Rh 0.0000 2.4928 10.7610
Rh 2.1588 1.2464 1.7325
Rh 2.1588 1.2464 4.5142
Rh 2.1588 1.2464 9.3701
```

Most intense lines, 10° ≤ 2θ ≤ 80°, sorted by position:
| hkl | 2θ (°) | d_spacing | Rel. int. |
| --- | --- | --- | --- |
| 0 0 2 | 14.18 | 6.247 | 15 |
| 0 0 4 | 28.58 | 3.123 | 9 |
| 1 0 4 | 37.52 | 2.397 | 56 |
| 1 1 0 | 41.84 | 2.159 | 100 |
| 1 0 5 | 43.56 | 2.078 | 44 |
| 1 1 4 | 51.46 | 1.776 | 10 |
| 2 0 4 | 57.45 | 1.604 | 16 |
| 2 0 5 | 61.98 | 1.497 | 17 |
| 2 1 4 | 73.56 | 1.288 | 16 |
| 1 1 8 | 75.07 | 1.265 | 14 |
| 3 0 0 | 76.42 | 1.246 | 16 |
| 2 1 5 | 77.61 | 1.230 | 15 |